Structure and computed X-ray powder pattern of GeN2F5 (a GGA-PBE-relaxed structure; Cu Kα (λ = 1.5418 Å)).
No peak broadening, texture or thermal motion is included.

The 10 most intense peaks (2θ = 10–90°), sorted by position:
2theta  d/Å  Rel. int.  (hkl)
19.20  4.623  100  1 0 1
21.27  4.178  55  0 0 2
22.66  3.924  51  1 1 0
31.27  2.860  32  1 1 2
36.08  2.489  13  1 0 3
37.81  2.379  20  1 2 1
46.27  1.962  25  2 2 0
51.45  1.776  12  2 2 2
61.23  1.514  13  2 3 1
65.21  1.431  15  2 2 4

Structural model:
a = 5.5496 Å, b = 5.5496 Å, c = 8.3561 Å
α = 90.00°, β = 90.00°, γ = 90.00°
Space group P4/n (No. 85, origin choice 2)
One atom of each set of equivalent atoms:
Ge (0.2500, 0.2500, 0.2329) [2 per cell]
N (0.2500, 0.2500, 0.7191) [2 per cell]
N (0.2500, 0.7500, 0.0000) [2 per cell]
F (0.0041, 0.5622, 0.7180) [8 per cell]
F (0.2500, 0.2500, 0.0242) [2 per cell]